Structure and theoretical powder X-ray diffraction pattern of Pa2TlTe6 (a DFT-relaxed cell (PBE, OQMD); CuKα).
Peak positions follow from Bragg's law for the DFT cell and can differ from measured ones.

Crystal structure
a b c (Å): 8.6672 8.6672 4.2759
angles (deg): 90.00 90.00 120.00
Space group P-3 (No. 147)
Asymmetric unit:
Pa 0.3333 0.6667 0.2583 x2
Tl 0.0000 0.0000 0.5000 x1
Te 0.0818 0.6865 0.7576 x6

Largest 8 diffraction maxima, by intensity, 10 to 80 degrees two-theta:
31.7°, I 100.0
38.1°, I 90.1
29.3°, I 84.5
35.9°, I 73.5
57.7°, I 46.6
20.5°, I 40.5
31.5°, I 40.4
24.0°, I 30.5

Structure and theoretical powder X-ray diffraction pattern of PaZnTe (a DFT-relaxed cell (PBE, OQMD); CuKα).
Peak positions follow from Bragg's law for the DFT cell and can differ from measured ones.

Crystal structure
a b c (Å): 6.706 6.706 6.706
angles (deg): 90.00 90.00 90.00
Space group F-43m (No. 216)
Asymmetric unit:
Pa 0.000 0.000 0.000 x4
Zn 0.250 0.250 0.250 x4
Te 0.000 0.000 0.500 x4

Largest 8 diffraction maxima, by intensity, 10 to 80 degrees two-theta:
38.0°, I 100.0
26.6°, I 54.8
68.6°, I 35.3
61.9°, I 21.8
23.0°, I 20.5
54.8°, I 17.4
46.9°, I 16.2
44.8°, I 11.2

Structure and theoretical powder X-ray diffraction pattern of PaW (a DFT-relaxed cell (PBE, OQMD); CuKα).
Peak positions follow from Bragg's law for the DFT cell and can differ from measured ones.

Crystal structure
a b c (Å): 3.0791 3.0791 5.0009
angles (deg): 90.00 90.00 120.00
Space group P-6m2 (No. 187)
Asymmetric unit:
Pa 0.0000 0.0000 0.0000 x1
W 0.6667 0.3333 0.5000 x1

Largest 8 diffraction maxima, by intensity, 10 to 80 degrees two-theta:
38.3°, I 100.0
35.9°, I 26.2
33.6°, I 24.3
72.0°, I 21.5
66.1°, I 20.7
60.1°, I 18.2
50.0°, I 16.3
73.5°, I 15.3

Structure and theoretical powder X-ray diffraction pattern of PaZn (a DFT-relaxed cell (PBE, OQMD); CuKα).
Peak positions follow from Bragg's law for the DFT cell and can differ from measured ones.

Crystal structure
a b c (Å): 3.0636 3.0636 5.2380
angles (deg): 90.00 90.00 120.00
Space group P-6m2 (No. 187)
Asymmetric unit:
Pa 0.0000 0.0000 0.0000 x1
Zn 0.6667 0.3333 0.5000 x1

Largest 8 diffraction maxima, by intensity, 10 to 80 degrees two-theta:
38.0°, I 100.0
16.9°, I 38.7
33.8°, I 37.8
48.9°, I 27.6
34.2°, I 27.0
63.8°, I 22.3
71.3°, I 19.5
60.4°, I 16.0

Structure and theoretical powder X-ray diffraction pattern of Pa3Zn4 (a DFT-relaxed cell (PBE, OQMD); CuKα).
Peak positions follow from Bragg's law for the DFT cell and can differ from measured ones.

Crystal structure
a b c (Å): 8.584 4.398 8.589
angles (deg): 90.00 119.96 90.00
Space group P2_1/m (No. 11)
Asymmetric unit:
Pa 0.047 0.250 0.432 x2
Pa 0.115 0.750 0.047 x2
Pa 0.432 0.750 0.885 x2
Zn 0.167 0.250 0.833 x2
Zn 0.304 0.750 0.479 x2
Zn 0.324 0.250 0.304 x2
Zn 0.479 0.250 0.676 x2

Largest 8 diffraction maxima, by intensity, 10 to 80 degrees two-theta:
38.0°, I 100.0
31.8°, I 28.5
29.1°, I 27.5
23.9°, I 23.6
41.0°, I 20.4
56.7°, I 15.5
72.4°, I 15.0
72.8°, I 14.9

Structure and theoretical powder X-ray diffraction pattern of Pd5Pb3 (a DFT-relaxed cell (PBE, OQMD); CuKα).
Peak positions follow from Bragg's law for the DFT cell and can differ from measured ones.

Crystal structure
a b c (Å): 12.431 7.789 7.372
angles (deg): 90.00 120.97 90.00
Space group C2 (No. 5)
Asymmetric unit:
Pd 0.080 0.000 0.410 x4
Pd 0.083 0.512 0.916 x4
Pd 0.169 0.839 0.832 x4
Pd 0.171 0.668 0.345 x4
Pd 0.247 0.003 0.242 x4
Pb 0.000 0.633 0.500 x2
Pb 0.000 0.865 0.000 x2
Pb 0.144 0.317 0.288 x4
Pb 0.149 0.190 0.793 x4

Largest 8 diffraction maxima, by intensity, 10 to 80 degrees two-theta:
40.1°, I 100.0
38.7°, I 53.5
38.6°, I 50.9
38.7°, I 50.8
40.0°, I 47.7
27.6°, I 45.4
57.0°, I 26.9
27.5°, I 23.0